# 1
Tb9PmDy2: simulated XRD peak list (Cu Ka), based on a crystal structure in Alexandria, relaxed with PBE.
Intensities are scaled so that the largest is 100.

Crystal structure
```
data_Tb9PmDy2
_cell_length_a 11.2715
_cell_length_b 11.2715
_cell_length_c 3.5111
_cell_angle_alpha 90.00
_cell_angle_beta 90.00
_cell_angle_gamma 120.00
_space_group_name_H-M_alt 'P 6/m m m'
_space_group_IT_number 191
_space_group_name_Hall '-P 6 2'
loop_
_atom_site_label
_atom_site_fract_x
_atom_site_fract_y
_atom_site_fract_z
Tb1 0.0000 0.5000 0.0000
Tb2 0.1770 0.3541 0.5000
Pm1 0.0000 0.0000 0.0000
Dy1 0.3333 0.6667 0.0000
```

Top 12 peaks for 2θ = 15–90°, in order of rising 2θ:
| d [Å] | I (rel.) |
| --- | --- |
| 2.980 | 26 |
| 2.850 | 52 |
| 2.818 | 100 |
| 2.543 | 19 |
| 2.387 | 15 |
| 2.004 | 18 |
| 1.821 | 12 |
| 1.633 | 18 |
| 1.627 | 18 |
| 1.490 | 30 |
| 1.409 | 10 |
| 1.193 | 14 |

# 2
Tb2Pm3Dy: simulated XRD peak list (Cu Ka), based on a crystal structure in Alexandria, relaxed with PBE.
Intensities are scaled so that the largest is 100.

Crystal structure
```
data_Tb2Pm3Dy
_cell_length_a 10.858
_cell_length_b 6.254
_cell_length_c 11.650
_cell_angle_alpha 90.00
_cell_angle_beta 90.00
_cell_angle_gamma 90.00
_space_group_name_H-M_alt 'C m c 21'
_space_group_IT_number 36
_space_group_name_Hall 'C 2c -2'
loop_
_atom_site_label
_atom_site_fract_x
_atom_site_fract_y
_atom_site_fract_z
Tb1 0.167 0.166 0.000
Pm1 0.000 0.001 0.750
Pm2 0.167 0.499 0.250
Dy1 0.000 0.334 0.500
```

Top 12 peaks for 2θ = 15–90°, in order of rising 2θ:
| d [Å] | I (rel.) |
| --- | --- |
| 3.131 | 6 |
| 3.023 | 47 |
| 2.912 | 35 |
| 2.758 | 100 |
| 2.437 | 26 |
| 1.869 | 12 |
| 1.807 | 26 |
| 1.650 | 22 |
| 1.536 | 31 |
| 1.513 | 11 |
| 1.159 | 9 |
| 1.134 | 12 |

# 3
Tb8PmDy4: simulated XRD peak list (Cu Ka), based on a crystal structure in Alexandria, relaxed with PBE.
Intensities are scaled so that the largest is 100.

Crystal structure
```
data_Tb8PmDy4
_cell_length_a 11.421
_cell_length_b 7.461
_cell_length_c 10.245
_cell_angle_alpha 90.00
_cell_angle_beta 90.02
_cell_angle_gamma 90.00
_space_group_name_H-M_alt 'C 1 2 1'
_space_group_IT_number 5
_space_group_name_Hall 'C 2y'
loop_
_atom_site_label
_atom_site_fract_x
_atom_site_fract_y
_atom_site_fract_z
Tb1 0.000 0.000 0.213
Tb2 0.000 0.434 0.213
Tb3 0.239 0.717 0.306
Tb4 0.239 0.717 0.694
Pm1 0.000 0.718 0.000
Dy1 0.000 0.218 0.500
Dy2 0.000 0.717 0.500
Dy3 0.250 0.466 0.000
```

Top 12 peaks for 2θ = 15–90°, in order of rising 2θ:
| d [Å] | I (rel.) |
| --- | --- |
| 3.505 | 23 |
| 2.931 | 42 |
| 2.855 | 39 |
| 2.667 | 100 |
| 2.561 | 11 |
| 2.214 | 13 |
| 1.907 | 10 |
| 1.796 | 13 |
| 1.610 | 21 |
| 1.574 | 11 |
| 1.562 | 10 |
| 1.520 | 16 |

# 4
TbPm5Dy12: simulated XRD peak list (Cu Ka), based on a crystal structure in Alexandria, relaxed with PBE.
Intensities are scaled so that the largest is 100.

Crystal structure
```
data_TbPm5Dy12
_cell_length_a 11.795
_cell_length_b 17.176
_cell_length_c 5.740
_cell_angle_alpha 90.00
_cell_angle_beta 90.00
_cell_angle_gamma 90.00
_space_group_name_H-M_alt 'C m m m'
_space_group_IT_number 65
_space_group_name_Hall '-C 2 2'
loop_
_atom_site_label
_atom_site_fract_x
_atom_site_fract_y
_atom_site_fract_z
Tb1 0.000 0.000 0.000
Pm1 0.000 0.137 0.500
Pm2 0.000 0.361 0.000
Pm3 0.000 0.500 0.500
Dy1 0.154 0.179 0.000
Dy2 0.154 0.321 0.500
Dy3 0.199 0.000 0.500
Dy4 0.201 0.500 0.000
```

Top 12 peaks for 2θ = 15–90°, in order of rising 2θ:
| d [Å] | I (rel.) |
| --- | --- |
| 2.867 | 55 |
| 2.860 | 13 |
| 2.822 | 100 |
| 2.789 | 8 |
| 2.027 | 17 |
| 1.966 | 7 |
| 1.736 | 6 |
| 1.648 | 20 |
| 1.645 | 9 |
| 1.621 | 12 |
| 1.485 | 8 |
| 1.463 | 8 |